No. 1
For TlHg12, a PBE-relaxed structure gives the calculated PXRD pattern in this record (a wavelength of 1.5418 Å).
Lines closer than 0.1° are merged.

Structure:
Lattice parameters (Å, degrees): 9.1370 9.1370 9.1370 60.00 60.00 60.00
Fractional positions:
Tl 0.0000 0.0000 0.0000
Hg 0.1604 0.5000 0.5000
Hg 0.1604 0.5000 0.8396
Hg 0.1604 0.8396 0.5000
Hg 0.5000 0.1604 0.5000
Hg 0.5000 0.1604 0.8396
Hg 0.5000 0.5000 0.1604
Hg 0.5000 0.5000 0.8396
Hg 0.5000 0.8396 0.1604
Hg 0.5000 0.8396 0.5000
Hg 0.8396 0.1604 0.5000
Hg 0.8396 0.5000 0.1604
Hg 0.8396 0.5000 0.5000

Most intense lines, 5 to 70 degrees two-theta, by angle:
- 11.86°, d = 7.460 Å, intensity 29.6
- 19.43°, d = 4.568 Å, intensity 21.4
- 22.83°, d = 3.896 Å, intensity 100.0
- 23.85°, d = 3.730 Å, intensity 38.1
- 33.99°, d = 2.638 Å, intensity 38.2
- 36.12°, d = 2.487 Å, intensity 92.8
- 41.34°, d = 2.184 Å, intensity 48.7
- 41.95°, d = 2.154 Å, intensity 75.0
- 54.55°, d = 1.682 Å, intensity 29.4
- 60.83°, d = 1.523 Å, intensity 49.5
- 65.85°, d = 1.418 Å, intensity 17.0
- 66.30°, d = 1.410 Å, intensity 13.6


No. 2
For PrHoTl4, a PBE-relaxed structure gives the calculated PXRD pattern in this record (a wavelength of 1.5418 Å).
Lines closer than 0.1° are merged.

Structure:
Lattice parameters (Å, degrees): 3.8237 5.1137 8.7895 90.00 90.46 90.00
Fractional positions:
Pr 0.0000 0.0000 0.0000
Ho 0.0023 0.5000 0.4982
Tl 0.3481 0.0000 0.6615
Tl 0.3787 0.5000 0.1709
Tl 0.6271 0.5000 0.8260
Tl 0.6497 0.0000 0.3384

Most intense lines, 5 to 70 degrees two-theta, by angle:
- 30.87°, d = 2.896 Å, intensity 51.2
- 30.99°, d = 2.886 Å, intensity 100.0
- 35.10°, d = 2.557 Å, intensity 37.3
- 35.31°, d = 2.542 Å, intensity 72.9
- 47.43°, d = 1.917 Å, intensity 31.6
- 47.92°, d = 1.898 Å, intensity 14.8
- 52.04°, d = 1.757 Å, intensity 23.2
- 60.42°, d = 1.532 Å, intensity 15.7
- 60.57°, d = 1.529 Å, intensity 15.3
- 60.77°, d = 1.524 Å, intensity 15.1
- 63.10°, d = 1.473 Å, intensity 13.8
- 64.59°, d = 1.443 Å, intensity 11.3